[1]
Starting from the PBE geometry in OQMD, the powder X-ray diffraction pattern of Sr2Ta2NO5 was computed for CuKα.
Intensities are scaled so that the largest is 1000.

Top 8 peaks for 10° ≤ 2θ ≤ 90°, in order of rising 2θ:
h k l  2theta  I (rel.)
1 0 0  22.16  212
1 0 2  31.34  1000
1 1 0  31.53  482
0 0 4  44.64  144
2 0 0  45.20  281
1 1 4  55.67  197
2 1 2  56.03  398
2 0 4  65.40  176

Atomic structure:
```
data_Sr2Ta2NO5
_cell_length_a 4.012
_cell_length_b 4.012
_cell_length_c 8.120
_cell_angle_alpha 90.00
_cell_angle_beta 90.00
_cell_angle_gamma 90.00
_symmetry_space_group_name_H-M 'P 4/m m m'
_symmetry_Int_Tables_number 123
_symmetry_space_group_name_Hall '-P 4 2'
loop_
_atom_site_label
_atom_site_fract_x
_atom_site_fract_y
_atom_site_fract_z
Sr1 0.000 0.000 0.000
Sr2 0.000 0.000 0.500
Ta1 0.500 0.500 0.245
N1 0.500 0.500 0.000
O1 0.000 0.500 0.257
O2 0.500 0.500 0.500
```

=====

[2]
Starting from the PBE geometry in OQMD, the powder X-ray diffraction pattern of SrTaNO2 was computed for CuKα.
Intensities are scaled so that the largest is 1000.

Top 8 peaks for 10° ≤ 2θ ≤ 90°, in order of rising 2θ:
h k l  2theta  I (rel.)
2 0 0  31.16  1000
1 -1 2  31.39  965
1 1 2  31.60  996
2 -2 0  44.33  285
2 2 0  44.95  261
1 -3 2  55.46  403
1 3 2  55.85  400
2 0 4  56.29  407

Atomic structure:
```
data_SrTaNO2
_cell_length_a 5.740
_cell_length_b 5.744
_cell_length_c 7.951
_cell_angle_alpha 90.04
_cell_angle_beta 90.05
_cell_angle_gamma 90.75
_symmetry_space_group_name_H-M 'P 1'
_symmetry_Int_Tables_number 1
loop_
_symmetry_equiv_pos_as_xyz
'x,y,z'
loop_
_atom_site_label
_atom_site_fract_x
_atom_site_fract_y
_atom_site_fract_z
Sr1 0.000 0.000 0.000
Sr2 0.008 0.993 0.500
Sr3 0.510 0.506 0.997
Sr4 0.520 0.503 0.497
Ta1 0.006 0.487 0.748
Ta2 0.028 0.496 0.246
Ta3 0.496 0.997 0.247
Ta4 0.505 0.018 0.746
N1 0.258 0.251 0.236
N2 0.261 0.249 0.750
N3 0.269 0.751 0.281
N4 0.761 0.259 0.781
O1 0.043 0.559 0.993
O2 0.279 0.745 0.700
O3 0.493 0.951 0.993
O4 0.557 0.047 0.493
O5 0.756 0.269 0.201
O6 0.774 0.769 0.249
O7 0.779 0.764 0.735
O8 0.972 0.466 0.493
```

=====

[3]
Starting from the PBE geometry in OQMD, the powder X-ray diffraction pattern of SrTaNO2 was computed for CuKα.
Intensities are scaled so that the largest is 1000.

Top 8 peaks for 10° ≤ 2θ ≤ 90°, in order of rising 2θ:
h k l  2theta  I (rel.)
1 1 0  22.18  273
-1 1 2  31.28  1000
1 1 2  31.35  338
2 0 0  31.58  677
0 0 4  44.42  193
2 2 0  45.26  355
3 1 -2  56.02  344
-1 3 2  56.11  209

Atomic structure:
```
data_SrTaNO2
_cell_length_a 5.666
_cell_length_b 5.667
_cell_length_c 8.157
_cell_angle_alpha 90.15
_cell_angle_beta 90.12
_cell_angle_gamma 90.01
_symmetry_space_group_name_H-M 'P 1'
_symmetry_Int_Tables_number 1
loop_
_symmetry_equiv_pos_as_xyz
'x,y,z'
loop_
_atom_site_label
_atom_site_fract_x
_atom_site_fract_y
_atom_site_fract_z
Sr1 0.000 0.000 0.000
Sr2 0.001 0.004 0.499
Sr3 0.506 0.500 0.502
Sr4 0.509 0.506 0.001
Ta1 0.006 0.510 0.740
Ta2 0.013 0.497 0.256
Ta3 0.494 0.995 0.757
Ta4 0.498 0.011 0.240
N1 0.003 0.497 0.503
N2 0.284 0.725 0.753
N3 0.285 0.293 0.243
N4 0.516 0.998 0.003
O1 0.208 0.798 0.255
O2 0.209 0.222 0.766
O3 0.500 0.031 0.505
O4 0.706 0.720 0.269
O5 0.708 0.304 0.757
O6 0.789 0.802 0.741
O7 0.790 0.217 0.251
O8 0.973 0.531 0.005
```

=====

[4]
Starting from the PBE geometry in OQMD, the powder X-ray diffraction pattern of SrTaNO2 was computed for CuKα.
Intensities are scaled so that the largest is 1000.

Top 8 peaks for 10° ≤ 2θ ≤ 90°, in order of rising 2θ:
h k l  2theta  I (rel.)
1 2 -1  31.22  997
1 2 1  31.40  964
2 0 0  31.63  1000
0 4 0  44.39  287
2 0 -2  45.08  260
2 4 0  55.53  403
3 2 -1  55.96  402
3 2 1  56.29  406

Atomic structure:
```
data_SrTaNO2
_cell_length_a 5.657
_cell_length_b 8.162
_cell_length_c 5.660
_cell_angle_alpha 90.00
_cell_angle_beta 90.61
_cell_angle_gamma 90.00
_symmetry_space_group_name_H-M 'P 1 21 1'
_symmetry_Int_Tables_number 4
loop_
_symmetry_equiv_pos_as_xyz
'x,y,z'
'-x,y+1/2,-z'
loop_
_atom_site_label
_atom_site_fract_x
_atom_site_fract_y
_atom_site_fract_z
Sr1 0.245 0.000 0.243
Sr2 0.245 0.500 0.245
Ta1 0.257 0.740 0.744
Ta2 0.258 0.257 0.740
N1 0.244 0.500 0.756
N2 0.461 0.251 0.461
O1 0.042 0.751 0.455
O2 0.046 0.251 0.047
O3 0.237 0.002 0.764
O4 0.456 0.751 0.042
```

=====

[5]
Starting from the PBE geometry in OQMD, the powder X-ray diffraction pattern of Sr2Zr2NO5 was computed for CuKα.
Intensities are scaled so that the largest is 1000.

Top 8 peaks for 10° ≤ 2θ ≤ 90°, in order of rising 2θ:
h k l  2theta  I (rel.)
1 0 2  30.17  1000
1 1 0  30.35  474
0 0 4  42.93  175
2 0 0  43.45  337
1 1 4  53.48  194
2 1 2  53.81  394
2 0 4  62.73  207
3 0 2  71.60  166

Atomic structure:
```
data_Sr2Zr2NO5
_cell_length_a 4.165
_cell_length_b 4.165
_cell_length_c 8.427
_cell_angle_alpha 90.00
_cell_angle_beta 90.00
_cell_angle_gamma 90.00
_symmetry_space_group_name_H-M 'P 4/m m m'
_symmetry_Int_Tables_number 123
_symmetry_space_group_name_Hall '-P 4 2'
loop_
_atom_site_label
_atom_site_fract_x
_atom_site_fract_y
_atom_site_fract_z
Sr1 0.000 0.000 0.000
Sr2 0.000 0.000 0.500
Zr1 0.500 0.500 0.249
N1 0.500 0.500 0.500
O1 0.000 0.500 0.246
O2 0.500 0.500 0.000
```

=====

[6]
Starting from the PBE geometry in OQMD, the powder X-ray diffraction pattern of Ta3NO6 was computed for CuKα.
Intensities are scaled so that the largest is 1000.

Top 8 peaks for 10° ≤ 2θ ≤ 90°, in order of rising 2θ:
h k l  2theta  I (rel.)
0 0 2  17.16  405
1 1 0  23.55  550
0 0 3  25.89  1000
5 1 -1  31.89  308
1 1 -3  33.31  231
5 1 1  38.28  213
5 1 -4  38.91  244
0 2 3  54.46  244

Atomic structure:
```
data_Ta3NO6
_cell_length_a 20.726
_cell_length_b 3.864
_cell_length_c 11.929
_cell_angle_alpha 90.00
_cell_angle_beta 120.00
_cell_angle_gamma 90.00
_symmetry_space_group_name_H-M 'C 1 m 1'
_symmetry_Int_Tables_number 8
loop_
_symmetry_equiv_pos_as_xyz
'x,y,z'
'x,-y,z'
'x+1/2,y+1/2,z'
'x+1/2,-y+1/2,z'
loop_
_atom_site_label
_atom_site_fract_x
_atom_site_fract_y
_atom_site_fract_z
Ta1 0.000 0.000 0.000
Ta2 0.024 0.000 0.746
Ta3 0.104 0.000 0.373
Ta4 0.184 0.000 0.006
Ta5 0.212 0.000 0.745
Ta6 0.289 0.000 0.375
Ta7 0.313 0.500 0.003
Ta8 0.396 0.000 0.743
Ta9 0.421 0.500 0.373
N1 0.080 0.000 0.954
N2 0.276 0.000 0.962
N3 0.431 0.500 0.777
O1 0.005 0.000 0.357
O2 0.007 0.500 0.744
O3 0.056 0.000 0.179
O4 0.105 0.500 0.373
O5 0.128 0.000 0.787
O6 0.150 0.000 0.567
O7 0.201 0.500 0.996
O8 0.205 0.000 0.390
O9 0.229 0.500 0.785
O10 0.233 0.000 0.187
O11 0.308 0.000 0.748
O12 0.314 0.500 0.376
O13 0.353 0.000 0.564
O14 0.357 0.500 0.182
O15 0.395 0.000 0.371
O16 0.397 0.500 0.986
O17 0.476 0.000 0.955
O18 0.478 0.500 0.561
```

=====

[7]
Starting from the PBE geometry in OQMD, the powder X-ray diffraction pattern of TaTlNO was computed for CuKα.
Intensities are scaled so that the largest is 1000.

Top 8 peaks for 10° ≤ 2θ ≤ 90°, in order of rising 2θ:
h k l  2theta  I (rel.)
0 0 2  26.14  176
0 1 1  27.79  271
2 0 0  29.54  432
1 0 2  30.09  549
1 1 1  31.55  1000
0 1 3  47.14  232
3 1 1  53.69  243
2 1 3  56.62  303

Atomic structure:
```
data_TaTlNO
_cell_length_a 6.048
_cell_length_b 3.639
_cell_length_c 6.818
_cell_angle_alpha 90.00
_cell_angle_beta 90.00
_cell_angle_gamma 90.00
_symmetry_space_group_name_H-M 'P m m a'
_symmetry_Int_Tables_number 51
loop_
_symmetry_equiv_pos_as_xyz
'x,y,z'
'-x,-y,-z'
'-x+1/2,-y,z'
'x+1/2,y,-z'
'x+1/2,-y,-z'
'-x+1/2,y,z'
'-x,y,-z'
'x,-y,z'
loop_
_atom_site_label
_atom_site_fract_x
_atom_site_fract_y
_atom_site_fract_z
Ta1 0.250 0.000 0.169
Tl1 0.250 0.500 0.673
N1 0.000 0.000 0.000
O1 0.250 0.500 0.275
```

=====

[8]
Starting from the PBE geometry in OQMD, the powder X-ray diffraction pattern of TmTcNO was computed for CuKα.
Intensities are scaled so that the largest is 1000.

Top 8 peaks for 10° ≤ 2θ ≤ 90°, in order of rising 2θ:
h k l  2theta  I (rel.)
1 1 1  26.55  842
2 0 0  32.94  195
1 2 1  33.40  1000
0 3 0  34.84  337
0 1 2  36.98  363
2 1 1  39.28  251
2 0 2  48.85  175
0 4 2  60.00  170

Atomic structure:
```
data_TmTcNO
_cell_length_a 5.438
_cell_length_b 7.724
_cell_length_c 5.122
_cell_angle_alpha 90.00
_cell_angle_beta 90.00
_cell_angle_gamma 90.00
_symmetry_space_group_name_H-M 'P c a 21'
_symmetry_Int_Tables_number 29
loop_
_symmetry_equiv_pos_as_xyz
'x,y,z'
'-x,-y,z+1/2'
'-x+1/2,y,z+1/2'
'x+1/2,-y,z'
loop_
_atom_site_label
_atom_site_fract_x
_atom_site_fract_y
_atom_site_fract_z
Tm1 0.018 0.142 0.000
Tc1 0.124 0.483 0.685
N1 0.095 0.346 0.358
O1 0.250 0.983 0.246
```